Entry 1:
Li4Ho3Si4: calculated powder diffraction line list (Cu Ka), based on a structure optimized by DFT (GGA-PBE).
Intensities are scaled so that the largest is 100.

Atomic structure:
Cell lengths 4.273, 6.575, 14.135 Å; angles 90.00, 90.00, 90.00 degrees
Space group Immm (No. 71)
Unique sites:
Li1 0.000 0.191 0.172
Ho1 0.000 0.000 0.371
Ho2 0.000 0.500 0.500
Si1 0.000 0.318 0.000
Si2 0.000 0.500 0.287

Main lines, in order of rising 2θ (5 to 70 degrees two-theta):
index, 2theta, d [Å], intensity
0 0 2, 12.52, 7.067, 20
1 0 1, 21.73, 4.090, 64
0 1 3, 23.23, 3.830, 57
0 2 0, 27.13, 3.287, 41
0 1 5, 34.54, 2.597, 29
1 2 1, 35.02, 2.562, 70
1 1 4, 35.69, 2.516, 100
1 3 4, 53.68, 1.707, 22

Entry 2:
Li4HoSi4: calculated powder diffraction line list (Cu Ka), based on a structure optimized by DFT (GGA-PBE).
Intensities are scaled so that the largest is 100.

Atomic structure:
Cell lengths 5.915, 5.915, 8.508 Å; angles 90.00, 90.00, 90.00 degrees
Space group P4_2/nmc (No. 137, origin choice 2)
Unique sites:
Li1 0.007 0.250 0.162
Ho1 0.250 0.750 0.250
Si1 0.050 0.250 0.462

Main lines, in order of rising 2θ (5 to 70 degrees two-theta):
index, 2theta, d [Å], intensity
1 0 1, 18.27, 4.856, 100
1 1 0, 21.24, 4.182, 26
1 1 2, 29.96, 2.982, 55
2 0 0, 30.22, 2.957, 22
1 0 3, 35.09, 2.557, 35
2 1 1, 35.54, 2.526, 65
2 0 2, 37.02, 2.428, 20
2 2 2, 48.51, 1.877, 21

Entry 3:
Li4HoSi2: calculated powder diffraction line list (Cu Ka), based on a structure optimized by DFT (GGA-PBE).
Intensities are scaled so that the largest is 100.

Atomic structure:
Cell lengths 3.957, 3.978, 8.444 Å; angles 90.00, 103.39, 90.00 degrees
Space group P2/m (No. 10)
Unique sites:
Li1 0.172 0.000 0.348
Li2 0.327 0.500 0.649
Ho1 0.500 0.000 0.000
Si1 0.070 0.500 0.141

Main lines, in order of rising 2θ (5 to 70 degrees two-theta):
index, 2theta, d [Å], intensity
0 0 1, 10.77, 8.215, 100
0 0 2, 21.64, 4.107, 12
1 0 0, 23.12, 3.847, 12
0 1 1, 24.87, 3.580, 13
1 0 -2, 27.82, 3.207, 14
0 1 2, 31.30, 2.857, 14
1 1 -1, 32.38, 2.765, 36
1 1 1, 35.97, 2.497, 25

Entry 4:
Li6HoSn4: calculated powder diffraction line list (Cu Ka), based on a structure optimized by DFT (GGA-PBE).
Intensities are scaled so that the largest is 100.

Atomic structure:
Cell lengths 7.6125, 7.6125, 4.4958 Å; angles 90.00, 90.00, 120.00 degrees
Space group P-6m2 (No. 187)
Unique sites:
Li1 0.2030 0.4060 0.0000
Li2 0.2383 0.1191 0.5000
Ho1 0.6667 0.3333 0.0000
Sn1 0.0000 0.0000 0.0000
Sn2 0.0550 0.5275 0.5000

Main lines, in order of rising 2θ (5 to 70 degrees two-theta):
index, 2theta, d [Å], intensity
1 0 1, 23.96, 3.714, 95
2 0 0, 27.05, 3.296, 71
1 1 1, 30.78, 2.905, 100
2 0 1, 33.72, 2.658, 62
2 1 0, 36.04, 2.492, 44
3 0 1, 45.97, 1.974, 58
2 2 0, 47.79, 1.903, 32
3 2 1, 65.07, 1.434, 31

Entry 5:
LiHoSn2: calculated powder diffraction line list (Cu Ka), based on a structure optimized by DFT (GGA-PBE).
Intensities are scaled so that the largest is 100.

Atomic structure:
Cell lengths 4.315, 19.281, 4.482 Å; angles 90.00, 90.00, 90.00 degrees
Space group Cmcm (No. 63)
Unique sites:
Li1 0.000 0.172 0.250
Ho1 0.000 0.396 0.250
Sn1 0.000 0.045 0.250
Sn2 0.000 0.248 0.750

Main lines, in order of rising 2θ (5 to 70 degrees two-theta):
index, 2theta, d [Å], intensity
1 3 0, 24.85, 3.583, 13
0 6 0, 27.76, 3.214, 16
1 5 0, 31.10, 2.875, 15
1 3 1, 31.98, 2.799, 100
0 6 1, 34.34, 2.612, 16
0 0 2, 40.24, 2.241, 17
2 0 0, 41.87, 2.158, 16
1 3 3, 67.98, 1.379, 12

Entry 6:
LiHo3Sn2: calculated powder diffraction line list (Cu Ka), based on a structure optimized by DFT (GGA-PBE).
Intensities are scaled so that the largest is 100.

Atomic structure:
Cell lengths 6.319, 16.273, 6.281 Å; angles 90.00, 90.00, 90.00 degrees
Space group Ibam (No. 72)
Unique sites:
Li1 0.000 0.000 0.250
Ho1 0.000 0.500 0.250
Ho2 0.246 0.177 0.000
Sn1 0.243 0.132 0.500

Main lines, in order of rising 2θ (5 to 70 degrees two-theta):
index, 2theta, d [Å], intensity
1 4 1, 29.74, 3.004, 62
2 2 0, 30.35, 2.945, 60
0 2 2, 30.51, 2.930, 59
2 4 0, 35.99, 2.495, 72
0 4 2, 36.13, 2.486, 62
1 6 1, 38.88, 2.317, 53
2 0 2, 40.50, 2.227, 100
2 6 2, 53.21, 1.721, 48

Entry 7:
Li2HoTh2Sn2: calculated powder diffraction line list (Cu Ka), based on a structure optimized by DFT (GGA-PBE).
Intensities are scaled so that the largest is 100.

Atomic structure:
Cell lengths 4.7996, 4.7996, 27.1423 Å; angles 90.00, 90.00, 120.00 degrees
Space group R-3m (No. 166, hexagonal axes)
Unique sites:
Li1 0.0000 0.0000 0.1036
Ho1 0.0000 0.0000 0.5000
Th1 0.0000 0.0000 0.3705
Sn1 0.0000 0.0000 0.2319

Main lines, in order of rising 2θ (5 to 70 degrees two-theta):
index, 2theta, d [Å], intensity
1 0 1, 21.63, 4.109, 95
1 0 7, 31.55, 2.835, 100
0 1 8, 34.11, 2.628, 92
1 1 0, 37.48, 2.400, 94
0 2 7, 49.78, 1.832, 29
2 0 8, 51.57, 1.772, 29
1 1 15, 64.50, 1.445, 37
1 2 8, 65.47, 1.426, 29

Entry 8:
SrLiHo: calculated powder diffraction line list (Cu Ka), based on a structure optimized by DFT (GGA-PBE).
Intensities are scaled so that the largest is 100.

Atomic structure:
Cell lengths 5.466, 5.461, 13.691 Å; angles 90.00, 90.06, 90.00 degrees
Space group C2/m (No. 12)
Unique sites:
Sr1 0.250 0.000 0.222
Li1 0.250 0.000 0.956
Ho1 0.250 0.000 0.576

Main lines, in order of rising 2θ (5 to 70 degrees two-theta):
index, 2theta, d [Å], intensity
0 0 1, 6.46, 13.691, 100
1 1 2, 26.49, 3.364, 31
1 1 3, 30.31, 2.949, 50
2 0 0, 32.77, 2.733, 29
2 0 -1, 33.45, 2.679, 10
2 2 0, 47.01, 1.933, 17
3 1 2, 54.80, 1.675, 8
1 3 3, 57.00, 1.616, 17

Entry 9:
LiHo5Te8: calculated powder diffraction line list (Cu Ka), based on a structure optimized by DFT (GGA-PBE).
Intensities are scaled so that the largest is 100.

Atomic structure:
Cell lengths 12.651, 12.651, 12.651 Å; angles 90.00, 90.00, 90.00 degrees
Space group F-43m (No. 216)
Unique sites:
Li1 0.000 0.000 0.000
Ho1 0.131 0.131 0.369
Ho2 0.250 0.250 0.750
Te1 0.116 0.116 0.616
Te2 0.129 0.129 0.129

Main lines, in order of rising 2θ (5 to 70 degrees two-theta):
index, 2theta, d [Å], intensity
1 1 1, 12.12, 7.304, 30
3 1 1, 23.32, 3.814, 50
4 0 0, 28.22, 3.163, 88
5 1 1, 36.92, 2.435, 33
4 4 0, 40.33, 2.236, 100
4 4 4, 49.95, 1.826, 23
8 0 0, 58.35, 1.581, 16
8 4 0, 66.06, 1.414, 28

Entry 10:
Li3Ho3TmTe8: calculated powder diffraction line list (Cu Ka), based on a structure optimized by DFT (GGA-PBE).
Intensities are scaled so that the largest is 100.

Atomic structure:
Cell lengths 8.5857, 8.5857, 21.2160 Å; angles 90.00, 90.00, 120.00 degrees
Space group R-3m (No. 166, hexagonal axes)
Unique sites:
Li1 0.0000 0.5000 0.0000
Ho1 0.0000 0.5000 0.5000
Tm1 0.0000 0.0000 0.5000
Te1 0.0000 0.0000 0.2522
Te2 0.0005 0.5002 0.2512

Main lines, in order of rising 2θ (5 to 70 degrees two-theta):
index, 2theta, d [Å], intensity
0 0 3, 12.52, 7.072, 33
0 2 1, 24.31, 3.662, 24
0 2 4, 29.34, 3.044, 100
2 0 8, 41.84, 2.159, 38
2 2 0, 42.10, 2.146, 37
4 0 4, 52.14, 1.754, 20
2 2 12, 68.79, 1.365, 17
2 4 4, 69.16, 1.358, 17

Entry 11:
Li2HoUTe4: calculated powder diffraction line list (Cu Ka), based on a structure optimized by DFT (GGA-PBE).
Intensities are scaled so that the largest is 100.

Atomic structure:
Cell lengths 7.503, 4.319, 7.525 Å; angles 90.00, 109.37, 90.00 degrees
Space group P2/m (No. 10)
Unique sites:
Li1 0.000 0.000 0.000
Li2 0.500 0.500 0.000
Ho1 0.000 0.500 0.500
U1 0.500 0.000 0.500
Te1 0.243 0.500 0.241
Te2 0.249 0.000 0.757

Main lines, in order of rising 2θ (5 to 70 degrees two-theta):
index, 2theta, d [Å], intensity
0 0 1, 12.47, 7.099, 37
1 1 0, 24.14, 3.687, 20
1 1 1, 29.15, 3.064, 100
1 1 -3, 41.62, 2.170, 38
3 1 -1, 41.73, 2.164, 25
2 2 -2, 51.79, 1.765, 14
2 2 2, 60.44, 1.532, 13
0 2 4, 68.38, 1.372, 17

Entry 12:
LiYHoTe3: calculated powder diffraction line list (Cu Ka), based on a structure optimized by DFT (GGA-PBE).
Intensities are scaled so that the largest is 100.

Atomic structure:
Cell lengths 8.861, 4.210, 9.456 Å; angles 90.00, 103.86, 90.00 degrees
Space group P2_1/m (No. 11)
Unique sites:
Li1 0.085 0.250 0.085
Y1 0.186 0.250 0.732
Ho1 0.333 0.750 0.337
Te1 0.090 0.250 0.377
Te2 0.236 0.750 0.996
Te3 0.423 0.750 0.673

Main lines, in order of rising 2θ (5 to 70 degrees two-theta):
index, 2theta, d [Å], intensity
0 0 1, 9.63, 9.181, 22
0 0 3, 29.18, 3.060, 39
2 1 -1, 29.67, 3.011, 100
1 1 -3, 35.75, 2.512, 24
2 1 -3, 38.27, 2.352, 16
2 1 2, 38.42, 2.343, 22
4 0 -1, 40.73, 2.215, 22
0 2 0, 42.96, 2.105, 19

Entry 13:
LiHoThTl: calculated powder diffraction line list (Cu Ka), based on a structure optimized by DFT (GGA-PBE).
Intensities are scaled so that the largest is 100.

Atomic structure:
Cell lengths 7.561, 7.561, 7.561 Å; angles 90.00, 90.00, 90.00 degrees
Space group F-43m (No. 216)
Unique sites:
Li1 0.000 0.000 0.000
Ho1 0.250 0.250 0.750
Th1 0.250 0.250 0.250
Tl1 0.000 0.000 0.500

Main lines, in order of rising 2θ (5 to 70 degrees two-theta):
index, 2theta, d [Å], intensity
1 1 1, 20.34, 4.365, 27
2 0 0, 23.53, 3.780, 11
2 2 0, 33.52, 2.673, 100
3 1 1, 39.53, 2.280, 15
4 0 0, 48.14, 1.890, 18
3 3 1, 52.78, 1.735, 7
4 2 2, 59.94, 1.543, 39
5 1 1, 63.99, 1.455, 5

Entry 14:
LiHo5Tl6: calculated powder diffraction line list (Cu Ka), based on a structure optimized by DFT (GGA-PBE).
Intensities are scaled so that the largest is 100.

Atomic structure:
Cell lengths 5.246, 7.562, 15.896 Å; angles 90.00, 90.00, 90.00 degrees
Space group Immm (No. 71)
Unique sites:
Li1 0.000 0.000 0.000
Ho1 0.000 0.000 0.334
Ho2 0.000 0.500 0.000
Ho3 0.000 0.500 0.336
Tl1 0.000 0.245 0.163
Tl2 0.000 0.261 0.500

Main lines, in order of rising 2θ (5 to 70 degrees two-theta):
index, 2theta, d [Å], intensity
1 2 3, 33.78, 2.654, 100
2 0 0, 34.19, 2.623, 20
0 4 0, 48.13, 1.891, 7
2 0 6, 48.86, 1.864, 14
0 4 6, 60.13, 1.539, 8
2 4 0, 60.36, 1.534, 8
1 2 9, 60.49, 1.531, 15
3 2 3, 60.94, 1.520, 15